Structure and calculated powder XRD pattern of Sm10Sn3Bi3 (a DFT-relaxed cell (GGA-PBE, Alexandria); CuKα).
Peak positions follow from Bragg's law for the DFT cell and can differ from measured ones.

Crystal structure
Cell lengths 9.2901, 9.2901, 6.6150 Å; angles 90.00, 90.00, 120.00 degrees
Fractional coordinates of all 16 atoms:
Sm 0.0000 0.2418 0.0000
Sm 0.0000 0.7580 0.5000
Sm 0.2418 0.0000 0.0000
Sm 0.2420 0.2420 0.5000
Sm 0.3333 0.6667 0.2541
Sm 0.3333 0.6667 0.7459
Sm 0.6667 0.3333 0.2541
Sm 0.6667 0.3333 0.7459
Sm 0.7580 0.0000 0.5000
Sm 0.7582 0.7582 0.0000
Sn 0.0000 0.3910 0.5000
Sn 0.3910 0.0000 0.5000
Sn 0.6090 0.6090 0.5000
Bi 0.0000 0.6083 0.0000
Bi 0.3917 0.3917 0.0000
Bi 0.6083 0.0000 0.0000

Main lines, low angle first (2θ from 15° to 90°):
2θ = 26.96°, d 3.307, rel. 20.6; 2θ = 29.37°, d 3.041, rel. 27.5; 2θ = 32.40°, d 2.763, rel. 100.0; 2θ = 33.25°, d 2.694, rel. 76.6; 2θ = 33.41°, d 2.682, rel. 44.7; 2θ = 42.77°, d 2.114, rel. 14.8; 2θ = 47.86°, d 1.901, rel. 18.4; 2θ = 51.17°, d 1.785, rel. 28.1; 2θ = 64.40°, d 1.447, rel. 22.2; 2θ = 66.41°, d 1.408, rel. 12.5

***

Structure and calculated powder XRD pattern of TbSm2Bi2 (a DFT-relaxed cell (GGA-PBE, Alexandria); CuKα).
Peak positions follow from Bragg's law for the DFT cell and can differ from measured ones.

Crystal structure
Cell lengths 9.2726, 9.2726, 8.8257 Å; angles 103.76, 103.76, 27.63 degrees
Fractional coordinates of all 10 atoms:
Tb 0.1804 0.1804 0.3399
Tb 0.8196 0.8196 0.6601
Sm 0.1802 0.1802 0.8401
Sm 0.4999 0.4999 0.2508
Sm 0.5001 0.5001 0.7492
Sm 0.8198 0.8198 0.1599
Bi 0.3633 0.3633 0.4346
Bi 0.3653 0.3653 0.9300
Bi 0.6347 0.6347 0.0700
Bi 0.6367 0.6367 0.5654

Main lines, low angle first (2θ from 15° to 90°):
2θ = 20.70°, d 4.292, rel. 43.8; 2θ = 28.56°, d 3.126, rel. 77.4; 2θ = 30.37°, d 2.943, rel. 65.9; 2θ = 30.72°, d 2.910, rel. 33.2; 2θ = 32.69°, d 2.739, rel. 69.8; 2θ = 35.32°, d 2.541, rel. 100.0; 2θ = 40.76°, d 2.214, rel. 35.2; 2θ = 40.90°, d 2.206, rel. 34.8; 2θ = 41.56°, d 2.173, rel. 34.7; 2θ = 53.22°, d 1.721, rel. 35.7

***

Structure and calculated powder XRD pattern of TbSm3Bi (a DFT-relaxed cell (GGA-PBE, Alexandria); CuKα).
Peak positions follow from Bragg's law for the DFT cell and can differ from measured ones.

Crystal structure
Cell lengths 8.0154, 8.0154, 8.0154 Å; angles 87.31, 114.88, 128.77 degrees
Fractional coordinates of all 10 atoms:
Tb 0.2483 0.2500 0.4983
Tb 0.7517 0.7500 0.5017
Sm 0.2011 0.5063 0.7516
Sm 0.2011 0.9495 0.1948
Sm 0.6653 0.9906 0.1747
Sm 0.7547 0.0063 0.8052
Sm 0.7547 0.4495 0.2484
Sm 0.8158 0.4906 0.8253
Bi 0.1901 0.4981 0.1920
Bi 0.3062 0.9981 0.8080

Main lines, low angle first (2θ from 15° to 90°):
2θ = 25.74°, d 3.461, rel. 53.4; 2θ = 28.81°, d 3.099, rel. 38.8; 2θ = 30.04°, d 2.975, rel. 64.6; 2θ = 30.84°, d 2.900, rel. 72.4; 2θ = 32.07°, d 2.791, rel. 46.7; 2θ = 33.16°, d 2.701, rel. 100.0; 2θ = 36.34°, d 2.472, rel. 68.2; 2θ = 39.04°, d 2.307, rel. 54.6; 2θ = 45.91°, d 1.977, rel. 65.9; 2θ = 64.99°, d 1.435, rel. 37.4

***

Copy entry 2 word for word.
Structure and calculated powder XRD pattern of TbSm2Bi2 (a DFT-relaxed cell (GGA-PBE, Alexandria); CuKα).
Peak positions follow from Bragg's law for the DFT cell and can differ from measured ones.

Crystal structure
Cell lengths 9.2726, 9.2726, 8.8257 Å; angles 103.76, 103.76, 27.63 degrees
Fractional coordinates of all 10 atoms:
Tb 0.1804 0.1804 0.3399
Tb 0.8196 0.8196 0.6601
Sm 0.1802 0.1802 0.8401
Sm 0.4999 0.4999 0.2508
Sm 0.5001 0.5001 0.7492
Sm 0.8198 0.8198 0.1599
Bi 0.3633 0.3633 0.4346
Bi 0.3653 0.3653 0.9300
Bi 0.6347 0.6347 0.0700
Bi 0.6367 0.6367 0.5654

Main lines, low angle first (2θ from 15° to 90°):
2θ = 20.70°, d 4.292, rel. 43.8; 2θ = 28.56°, d 3.126, rel. 77.4; 2θ = 30.37°, d 2.943, rel. 65.9; 2θ = 30.72°, d 2.910, rel. 33.2; 2θ = 32.69°, d 2.739, rel. 69.8; 2θ = 35.32°, d 2.541, rel. 100.0; 2θ = 40.76°, d 2.214, rel. 35.2; 2θ = 40.90°, d 2.206, rel. 34.8; 2θ = 41.56°, d 2.173, rel. 34.7; 2θ = 53.22°, d 1.721, rel. 35.7